This entry pairs a crystal structure of LaCrAgO6 with its simulated XRD peak list. Radiation: Cu Kα (weighted mean of Kα1 and Kα2). Structure: the GGA+U geometry in Alexandria.

Structural model:
```
data_LaCrAgO6
_cell_length_a 4.626
_cell_length_b 7.452
_cell_length_c 8.680
_cell_angle_alpha 90.00
_cell_angle_beta 105.00
_cell_angle_gamma 90.00
_symmetry_space_group_name_H-M 'P 1 c 1'
_symmetry_Int_Tables_number 7
_symmetry_space_group_name_Hall 'P -2yc'
loop_
_atom_site_label
_atom_site_type_symbol
_atom_site_fract_x
_atom_site_fract_y
_atom_site_fract_z
La1 La 0.000 0.101 0.000
Cr1 Cr 0.963 0.371 0.361
Ag1 Ag 0.378 0.280 0.753
O1 O 0.047 0.101 0.717
O2 O 0.099 0.339 0.206
O3 O 0.258 0.378 0.522
O4 O 0.488 0.171 0.969
O5 O 0.752 0.199 0.375
O6 O 0.781 0.428 0.841
```

Main lines, sorted by position (10° ≤ 2θ ≤ 80°):
(0 1 1), 15.91°, d = 5.570 Å, I = 78.9; (1 0 0), 19.87°, d = 4.468 Å, I = 55.9; (1 1 -1), 23.26°, d = 3.825 Å, I = 78.2; (0 1 2), 24.36°, d = 3.654 Å, I = 67.0; (1 0 -2), 25.08°, d = 3.550 Å, I = 76.1; (0 2 1), 26.17°, d = 3.405 Å, I = 86.4; (1 1 1), 27.66°, d = 3.225 Å, I = 75.3; (1 2 -1), 31.29°, d = 2.859 Å, I = 100.0; (0 1 3), 34.27°, d = 2.617 Å, I = 38.9; (2 0 0), 40.36°, d = 2.235 Å, I = 42.2; (2 1 -1), 40.85°, d = 2.209 Å, I = 33.2; (1 3 -1), 41.63°, d = 2.169 Å, I = 32.5